The following is a simulated powder X-ray diffraction pattern of AcGaMoO6. It was derived from a cell relaxed with PBE+U, using λ = 1.5418 Å (Cu Kα).
Lines closer than 0.1° are merged.

```
AcGaMoO6
1.0
5.0103 0.0000 0.0000
0.0000 5.0103 0.0000
0.0000 0.0000 9.8188
Ac Ga Mo O
2 2 2 12
Direct
0.0000 0.0000 0.0000
0.5000 0.5000 0.5000
0.0000 0.0000 0.6707
0.5000 0.5000 0.1707
0.0000 0.0000 0.3377
0.5000 0.5000 0.8377
0.1641 0.1641 0.5055
0.2115 0.2115 0.2149
0.2266 0.2266 0.8133
0.2734 0.7266 0.3133
0.2885 0.7115 0.7149
0.3359 0.6641 0.0055
0.6641 0.3359 0.0055
0.7115 0.2885 0.7149
0.7266 0.2734 0.3133
0.7734 0.7734 0.8133
0.7885 0.7885 0.2149
0.8359 0.8359 0.5055
```

Top 8 peaks for 2θ from 10° to 80°, in order of rising 2θ:
2θ/deg, intensity, (hkl)
19.89, 30, 1 0 1
25.14, 100, 1 1 0
32.68, 83, 1 0 3
35.85, 24, 2 0 0
49.29, 65, 2 1 3
51.60, 17, 2 2 0
58.23, 17, 3 1 0
62.47, 34, 3 0 3